(1)
Diffraction record for LiTb3U3S8. The powder diffraction line list is simulated, not measured: it uses a structure optimized by DFT (GGA-PBE) and λ = 1.5418 Å (Cu Kα).
Peak positions follow from Bragg's law for the DFT cell and can differ from measured ones.

Cell and atoms:
```
data_LiTb3U3S8
_chemical_formula_sum 'Li3 Tb9 U9 S24'
_space_group_name_H-M_alt 'R -3 m'
_space_group_IT_number 166
_space_group_name_Hall '-R 3 2"'
_cell_length_a 7.7025
_cell_length_b 7.7025
_cell_length_c 19.3395
_cell_angle_alpha 90.00
_cell_angle_beta 90.00
_cell_angle_gamma 120.00
loop_
_atom_site_label
_atom_site_type_symbol
_atom_site_fract_x
_atom_site_fract_y
_atom_site_fract_z
Li1 Li 0.0000 0.0000 0.0000
Tb1 Tb 0.0000 0.5000 0.5000
U1 U 0.0000 0.5000 0.0000
S1 S 0.0000 0.0000 0.2497
S2 S 0.0036 0.5018 0.7480
```

Largest 10 diffraction maxima, sorted by position, 2θ = 10–90°:
2theta, d (Å), I (rel.)
16.14, 5.491, 38.0
22.71, 3.915, 17.3
27.68, 3.223, 19.4
28.31, 3.153, 55.1
32.62, 2.745, 100.0
46.39, 1.957, 37.1
47.20, 1.926, 35.3
55.60, 1.653, 18.7
58.55, 1.576, 18.6
77.18, 1.236, 17.0


(2)
Diffraction record for LaPm2Pr2Ho. The powder diffraction line list is simulated, not measured: it uses a structure optimized by DFT (GGA-PBE) and λ = 1.5418 Å (Cu Kα).
Peak positions follow from Bragg's law for the DFT cell and can differ from measured ones.

Cell and atoms:
```
data_LaPm2Pr2Ho
_chemical_formula_sum 'La2 Pm4 Pr4 Ho2'
_space_group_name_H-M_alt 'P m c 21'
_space_group_IT_number 26
_space_group_name_Hall 'P 2c -2'
_cell_length_a 5.8096
_cell_length_b 10.0459
_cell_length_c 7.1594
_cell_angle_alpha 90.00
_cell_angle_beta 90.00
_cell_angle_gamma 90.00
loop_
_atom_site_label
_atom_site_type_symbol
_atom_site_fract_x
_atom_site_fract_y
_atom_site_fract_z
La1 La 0.0000 0.9998 0.0000
Pm1 Pm 0.0000 0.3346 0.2500
Pm2 Pm 0.5000 0.1686 0.7501
Pr1 Pr 0.0000 0.3303 0.7503
Pr2 Pr 0.5000 0.5003 0.0001
Ho1 Ho 0.5000 0.1651 0.2498
```

Largest 10 diffraction maxima, sorted by position, 2θ = 10–90°:
2theta, d (Å), I (rel.)
30.66, 2.916, 88.0
30.81, 2.902, 100.0
39.99, 2.254, 13.1
44.02, 2.057, 32.6
54.69, 1.678, 34.4
54.78, 1.676, 19.7
60.80, 1.523, 28.8
64.18, 1.451, 12.2
78.13, 1.223, 13.9
89.26, 1.097, 12.8